The following is a simulated XRD peak list of PmDy4N5. It was derived from a GGA-PBE-relaxed structure, using Cu Kα (λ = 1.5418 Å).
Neutral-atom scattering factors, no anomalous dispersion.

Largest 6 diffraction maxima, in order of rising 2θ, 10° ≤ 2θ ≤ 80°:
Position (°2θ), intensity, h k l
31.3, 100, 1 0 5
36.3, 72, 1 1 0
52.2, 49, 2 0 0
62.1, 45, 2 1 5
65.2, 17, 2 0 10
77.0, 8, 2 2 0

Structural model:
```
data_PmDy4N5
_chemical_formula_sum 'Pm2 Dy8 N10'
_cell_length_a 3.505
_cell_length_b 3.505
_cell_length_c 24.767
_cell_angle_alpha 90.00
_cell_angle_beta 90.00
_cell_angle_gamma 90.00
_symmetry_space_group_name_H-M 'I 4/m m m'
_symmetry_Int_Tables_number 139
_symmetry_space_group_name_Hall '-I 4 2'
loop_
_atom_site_label
_atom_site_type_symbol
_atom_site_fract_x
_atom_site_fract_y
_atom_site_fract_z
_atom_site_occupancy
Pm1 Pm 0.000 0.000 0.000 1
Dy1 Dy 0.000 0.000 0.201 1
Dy2 Dy 0.000 0.000 0.398 1
N1 N 0.000 0.000 0.103 1
N2 N 0.000 0.000 0.300 1
N3 N 0.000 0.000 0.500 1
```